No. 1
Structure and theoretical PXRD pattern of CaV4O10 (the PBE+U geometry in the Materials Project; copper Kα).
Peak positions follow from Bragg's law for the DFT cell and can differ from measured ones.

Atomic structure:
```
data_CaV4O10
_space_group_name_H-M_alt 'P m m 2'
_space_group_IT_number 25
_cell_length_a 3.618
_cell_length_b 11.476
_cell_length_c 5.175
_cell_angle_alpha 90.00
_cell_angle_beta 90.00
_cell_angle_gamma 90.00
loop_
_space_group_symop_operation_xyz
'x,y,z'
'-x,-y,z'
'-x,y,z'
'x,-y,z'
loop_
_atom_site_label
_atom_site_type_symbol
_atom_site_fract_x
_atom_site_fract_y
_atom_site_fract_z
Ca1 Ca 0.000 0.000 0.000
V1 V 0.000 0.351 0.259
V2 V 0.500 0.151 0.459
O1 O 0.000 0.176 0.323
O2 O 0.000 0.360 0.950
O3 O 0.000 0.500 0.374
O4 O 0.500 0.000 0.289
O5 O 0.500 0.121 0.778
O6 O 0.500 0.321 0.365
```

Peak list (12 most intense, 15° ≤ 2θ ≤ 90°, low angle first)
- d 5.175, I 100, (0 0 1)
- d 4.717, I 16, (0 1 1)
- d 3.843, I 22, (0 2 1)
- d 3.450, I 34, (1 1 0)
- d 3.076, I 47, (0 3 1)
- d 2.965, I 48, (1 0 1)
- d 2.870, I 38, (0 4 0)
- d 2.629, I 35, (1 3 0)
- d 2.587, I 15, (0 0 2)
- d 1.913, I 16, (0 6 0)
- d 1.809, I 23, (2 0 0)
- d 1.558, I 23, (1 0 3)

No. 2
Structure and theoretical PXRD pattern of CaV4O6 (the PBE+U geometry in the Materials Project; copper Kα).
Peak positions follow from Bragg's law for the DFT cell and can differ from measured ones.

Atomic structure:
```
data_CaV4O6
_space_group_name_H-M_alt 'C 1 m 1'
_space_group_IT_number 8
_cell_length_a 10.158
_cell_length_b 3.079
_cell_length_c 15.525
_cell_angle_alpha 90.00
_cell_angle_beta 90.71
_cell_angle_gamma 90.00
loop_
_space_group_symop_operation_xyz
'x,y,z'
'x,-y,z'
'x+1/2,y+1/2,z'
'x+1/2,-y+1/2,z'
loop_
_atom_site_label
_atom_site_type_symbol
_atom_site_fract_x
_atom_site_fract_y
_atom_site_fract_z
Ca1 Ca 0.000 0.000 0.000
Ca2 Ca 0.200 0.500 0.496
V1 V 0.212 0.000 0.291
V2 V 0.215 0.000 0.703
V3 V 0.249 0.500 0.112
V4 V 0.251 0.500 0.878
V5 V 0.448 0.500 0.382
V6 V 0.450 0.500 0.614
V7 V 0.485 0.000 0.793
V8 V 0.488 0.000 0.206
O1 O 0.030 0.000 0.499
O2 O 0.073 0.500 0.337
O3 O 0.073 0.500 0.663
O4 O 0.121 0.000 0.831
O5 O 0.126 0.000 0.162
O6 O 0.168 0.500 0.000
O7 O 0.321 0.000 0.407
O8 O 0.322 0.000 0.589
O9 O 0.353 0.500 0.251
O10 O 0.355 0.500 0.744
O11 O 0.379 0.000 0.091
O12 O 0.383 0.000 0.907
```

Peak list (12 most intense, 15° ≤ 2θ ≤ 90°, low angle first)
- d 2.755, I 57, (1 1 -2)
- d 2.664, I 100, (2 0 -5)
- d 2.634, I 96, (2 0 5)
- d 2.539, I 50, (4 0 0)
- d 2.254, I 63, (3 1 -1)
- d 2.190, I 79, (3 1 -2)
- d 2.181, I 83, (3 1 2)
- d 2.091, I 56, (3 1 -3)
- d 2.078, I 49, (3 1 3)
- d 1.617, I 38, (1 1 8)
- d 1.559, I 36, (5 1 -4)
- d 1.539, I 47, (0 2 0)